This entry pairs a crystal structure of Ti3ZnPt4 with its computed powder diffraction line list. Radiation: Cu Kα. Structure: a PBE-relaxed structure.

Largest 6 diffraction maxima, sorted by position, 2θ = 5–70°:
(2 0 1), d = 3.316 Å, intensity 51
(0 2 0), d = 2.798 Å, intensity 22
(1 2 1), d = 2.337 Å, intensity 20
(1 0 2), d = 2.322 Å, intensity 20
(4 0 0), d = 2.292 Å, intensity 41
(2 2 1), d = 2.138 Å, intensity 100

Lattice parameters (Å, degrees): 9.169 5.596 4.801 90.00 90.00 90.00
Element x y z (fractional)
Ti  0.000  0.000  0.000
Ti  0.250  0.000  0.386
Ti  0.250  0.500  0.373
Ti  0.500  0.000  0.000
Ti  0.750  0.000  0.614
Ti  0.750  0.500  0.627
Zn  0.000  0.500  0.000
Zn  0.500  0.500  0.000
Pt  0.000  0.250  0.500
Pt  0.000  0.750  0.500
Pt  0.250  0.250  0.879
Pt  0.250  0.750  0.879
Pt  0.500  0.250  0.500
Pt  0.500  0.750  0.500
Pt  0.750  0.250  0.121
Pt  0.750  0.750  0.121